Starting from a GGA-PBE-relaxed structure, the powder diffractogram of NaLiAl4Si2O12 was computed for CuKα.
Peak positions follow from Bragg's law for the DFT cell and can differ from measured ones.

Most intense lines, 2θ = 10–90°, by intensity:
d_spacing, 2theta, I (rel.)
3.215, 27.7, 100
2.583, 34.7, 70
4.517, 19.7, 62
1.524, 60.8, 46
4.559, 19.5, 36
3.451, 25.8, 34
3.303, 27.0, 34
3.191, 28.0, 32

Atomic structure:
```
40
Lattice="2.648 -4.533 0.000 2.648 4.533 0.000 -1.753 0.000 19.292" Properties=species:S:1:pos:R:3 pbc="T T T"
Na 1.772 3.729 9.646
Na 2.648 -3.729 0.000
Li 0.912 2.235 4.801
Li 0.036 -2.235 14.447
Al 0.171 0.868 14.468
Al 2.687 2.293 2.029
Al 1.047 -0.868 4.822
Al 1.759 0.686 7.610
Al 0.882 -0.686 17.256
Al 3.359 0.827 4.817
Al 1.811 -2.293 11.675
Al 2.483 -0.827 14.463
Si 0.842 2.313 17.259
Si 1.766 0.720 11.664
Si 2.642 -0.720 2.018
Si 1.718 -2.313 7.613
O 1.974 4.140 5.474
O 0.640 1.985 7.988
O 1.535 4.176 13.803
O 0.253 0.988 11.108
O 0.699 2.270 15.565
O 0.314 0.876 17.814
O 1.129 -0.988 1.462
O 2.869 2.252 3.816
O 1.873 0.550 5.817
O 1.191 -0.876 8.168
O 1.654 0.629 13.360
O -0.237 -1.985 17.634
O 2.763 1.954 11.291
O 0.996 -0.550 15.463
O 3.216 0.703 1.488
O 2.530 -0.629 3.715
O 1.575 -2.270 5.919
O 3.406 1.020 8.151
O 2.340 -0.703 11.134
O 1.992 -2.252 13.462
O 2.529 -1.020 17.797
O 1.098 -4.140 15.120
O 3.639 -1.954 1.645
O 2.412 -4.176 4.158
```


Starting from a GGA-PBE-relaxed structure, the powder diffractogram of PrHfO3 was computed for CuKα.
Peak positions follow from Bragg's law for the DFT cell and can differ from measured ones.

Most intense lines, 2θ = 10–90°, by intensity:
d_spacing, 2theta, I (rel.)
2.898, 30.9, 100
1.665, 55.1, 35
2.880, 31.1, 27
2.945, 30.4, 22
2.059, 44.0, 21
1.449, 64.3, 14
2.039, 44.4, 13
1.691, 54.2, 13

Atomic structure:
```
20
Lattice="5.889 0.000 0.000 0.000 8.157 0.000 0.000 0.000 5.759" Properties=species:S:1:pos:R:3 pbc="T T T"
Pr 0.358 2.039 0.024
Pr 2.587 6.117 2.903
Pr 3.302 2.039 2.856
Pr 5.532 6.117 5.736
Hf 0.000 0.000 2.880
Hf 0.000 4.078 2.880
Hf 2.945 0.000 0.000
Hf 2.945 4.078 0.000
O 0.181 6.117 3.364
O 1.148 4.427 1.089
O 1.148 7.808 1.089
O 1.796 0.349 3.968
O 1.796 3.729 3.968
O 2.764 2.039 0.484
O 3.126 6.117 5.275
O 4.093 4.427 1.791
O 4.093 7.808 1.791
O 4.741 0.349 4.671
O 4.741 3.729 4.671
O 5.708 2.039 2.395
```


Starting from a GGA-PBE-relaxed structure, the powder diffractogram of Na4Ge5O12 was computed for CuKα.
Peak positions follow from Bragg's law for the DFT cell and can differ from measured ones.

Most intense lines, 2θ = 10–90°, by intensity:
d_spacing, 2theta, I (rel.)
4.104, 21.7, 100
2.633, 34.1, 92
2.586, 34.7, 89
1.845, 49.4, 58
1.511, 61.4, 41
1.755, 52.1, 37
1.520, 60.9, 30
2.298, 39.2, 15

Atomic structure:
```
21
Lattice="5.266 0.000 0.000 -2.633 4.560 0.000 0.000 0.000 9.417" Properties=species:S:1:pos:R:3 pbc="T T T"
Na 0.000 0.000 1.784
Na 0.000 0.000 7.633
Na 0.000 3.040 5.616
Na 2.633 1.520 3.801
Ge 0.000 0.000 4.708
Ge 0.000 3.040 2.713
Ge 0.000 3.040 9.196
Ge 2.633 1.520 0.221
Ge 2.633 1.520 6.704
O -1.460 2.750 1.080
O -0.435 1.494 3.541
O -1.122 4.190 3.541
O 1.076 1.124 5.876
O 0.981 1.921 1.080
O 2.154 0.111 8.337
O 0.479 4.449 1.080
O 1.652 2.639 8.337
O 1.556 3.437 3.541
O 3.754 0.370 5.876
O 3.068 3.066 5.876
O 4.092 1.810 8.337
```